Diffraction record for Ba2LiV2Si4O14. The XRD peak list is theoretical, not measured: it uses a DFT-relaxed cell (PBE+U, Alexandria) and Cu Kα, 1.54184 Å.
Peak positions follow from Bragg's law for the DFT cell and can differ from measured ones.

Atomic structure:
```
Ba2LiV2Si4O14
1.0
5.545 0.000 0.000
0.558 7.197 0.000
2.300 0.009 7.763
Ba Li V Si O
2 1 2 4 14
Direct
0.000 0.000 0.000 Ba
0.353 0.494 0.197 Ba
0.441 0.037 0.199 Li
0.073 0.499 0.807 V
0.143 0.932 0.470 V
0.574 0.768 0.820 Si
0.581 0.215 0.795 Si
0.722 0.715 0.406 Si
0.787 0.257 0.385 Si
0.085 0.171 0.327 O
0.116 0.973 0.680 O
0.169 0.522 0.597 O
0.293 0.307 0.885 O
0.303 0.679 0.897 O
0.492 0.802 0.330 O
0.546 0.996 0.884 O
0.642 0.194 0.252 O
0.651 0.199 0.586 O
0.669 0.758 0.611 O
0.769 0.488 0.367 O
0.785 0.679 0.911 O
0.793 0.311 0.859 O
0.992 0.794 0.306 O
```

Principal peaks in the range 10 to 90 degrees two-theta, most intense first:
| hkl | d_spacing | I_rel |
| --- | --- | --- |
| 0 1 -2 | 3.416 | 100 |
| 2 0 1 | 2.759 | 64 |
| 1 1 2 | 3.338 | 63 |
| 1 0 3 | 2.638 | 63 |
| 1 2 0 | 3.085 | 57 |
| 2 -1 0 | 2.433 | 56 |
| 1 1 0 | 4.428 | 51 |
| 0 0 1 | 7.763 | 47 |
| 1 -2 0 | 2.880 | 44 |
| 1 -1 2 | 3.200 | 43 |